Diffraction record for FeHgCl14. The X-ray powder pattern is calculated, not measured: it uses DFT lattice parameters and positions (GGA-PBE) and Cu Kα (λ = 1.5418 Å).
Lines closer than 0.1° are merged.

The 12 most intense peaks (2θ from 15° to 90°), in order of rising 2θ:
(0 2 1), 2θ = 18.05°, d 4.914, intensity 1000; (1 1 1), 2θ = 18.81°, d 4.718, intensity 227; (2 2 -1), 2θ = 19.13°, d 4.640, intensity 348; (2 2 0), 2θ = 19.35°, d 4.588, intensity 302; (1 3 0), 2θ = 20.12°, d 4.414, intensity 190; (3 1 0), 2θ = 23.10°, d 3.850, intensity 226; (2 2 -2), 2θ = 26.56°, d 3.357, intensity 257; (3 3 -1), 2θ = 27.41°, d 3.253, intensity 190; (0 4 1), 2θ = 28.30°, d 3.153, intensity 176; (2 4 -1), 2θ = 29.02°, d 3.077, intensity 161; (0 2 2), 2θ = 29.18°, d 3.060, intensity 405; (6 2 -1), 2θ = 42.70°, d 2.118, intensity 219

Cell and atoms:
Cell lengths 13.5371, 14.2407, 7.6629 Å; angles 90.00, 117.60, 90.00 degrees
Space group C2 (No. 5)
Inequivalent atoms, fractional coordinates:
Fe  0.0000  0.0000  0.0000
Hg  0.0000  0.4557  0.0000
Cl  0.0000  0.3415  0.5000
Cl  0.0000  0.7946  0.5000
Cl  0.0335  0.0661  0.2700
Cl  0.0759  0.3340  0.8362
Cl  0.1543  0.9327  0.0743
Cl  0.1754  0.6673  0.3548
Cl  0.1753  0.7943  0.5287
Cl  0.1854  0.5363  0.1804

---

Diffraction record for Fe2HgCl6. The X-ray powder pattern is calculated, not measured: it uses DFT lattice parameters and positions (GGA-PBE) and Cu Kα (λ = 1.5418 Å).
Lines closer than 0.1° are merged.

The 12 most intense peaks (2θ from 15° to 90°), in order of rising 2θ:
(3 1 0), 2θ = 18.20°, d 4.875, intensity 1000; (2 2 0), 2θ = 18.31°, d 4.845, intensity 198; (0 2 1), 2θ = 21.32°, d 4.168, intensity 168; (1 3 0), 2θ = 22.57°, d 3.940, intensity 308; (4 2 0), 2θ = 26.71°, d 3.338, intensity 147; (3 3 0), 2θ = 27.62°, d 3.230, intensity 177; (5 1 0), 2θ = 28.92°, d 3.087, intensity 235; (2 4 0), 2θ = 31.39°, d 2.850, intensity 426; (3 1 -2), 2θ = 31.62°, d 2.829, intensity 318; (0 2 2), 2θ = 34.70°, d 2.585, intensity 166; (4 2 -2), 2θ = 35.81°, d 2.507, intensity 146; (6 2 0), 2θ = 36.88°, d 2.437, intensity 185

Cell and atoms:
Cell lengths 16.7405, 12.1977, 5.9900 Å; angles 90.00, 107.64, 90.00 degrees
Space group C2/c (No. 15)
Inequivalent atoms, fractional coordinates:
Fe  0.1673  0.0968  0.2589
Hg  0.0000  0.4983  0.2500
Cl  0.0903  0.2285  0.0698
Cl  0.1270  0.0746  0.5949
Cl  0.1990  0.3836  0.6624